No. 1
Calculated powder diffractogram
Compound: RuO2
Radiation: a wavelength of 1.5418 Å
Structure: a cell relaxed with GGA-PBE
No peak broadening, texture or thermal motion is included.

Cell and atoms:
Unit cell a=4.8572 b=4.8572 c=4.8572 alpha=90.00 beta=90.00 gamma=90.00
Space group Fm-3m (No. 225)
Unique sites:
Ru 0.0000 0.0000 0.0000
O 0.2500 0.2500 0.2500

Principal peaks in the range 2θ from 5° to 70°, by angle:
2theta, d_spacing, I/Imax, hkl
31.91, 2.804, 100, 1 1 1
37.02, 2.429, 23, 2 0 0
53.35, 1.717, 55, 2 2 0
63.53, 1.464, 40, 3 1 1
66.71, 1.402, 6, 2 2 2

***

No. 2
Calculated powder diffractogram
Compound: Dy7Co6Sn23
Radiation: a wavelength of 1.5418 Å
Structure: a cell relaxed with GGA-PBE
No peak broadening, texture or thermal motion is included.

Cell and atoms:
Unit cell a=10.1141 b=10.1141 c=10.9288 alpha=90.00 beta=90.00 gamma=120.00
Space group P-3m1 (No. 164)
Unique sites:
Dy 0.0000 0.0000 0.0000
Dy 0.0489 0.5245 0.2900
Co 0.1935 0.3870 0.1488
Sn 0.0000 0.0000 0.5000
Sn 0.0000 0.3476 0.0000
Sn 0.1159 0.2318 0.3218
Sn 0.2279 0.4558 0.5557
Sn 0.3333 0.6667 0.1076
Sn 0.3333 0.6667 0.7978

Principal peaks in the range 2θ from 5° to 70°, by angle:
2theta, d_spacing, I/Imax, hkl
31.60, 2.832, 61, 2 1 2
31.72, 2.821, 100, 0 3 1
31.96, 2.801, 35, 2 0 3
34.84, 2.575, 72, 3 0 2
36.68, 2.450, 28, 2 1 3
54.43, 1.686, 32, 3 3 0